Record 1
Simulated powder X-ray diffraction pattern
Compound: HgCl2
Radiation: Cu Kα
Structure: the PBE geometry in the Materials Project

Principal peaks in the range 10° ≤ 2θ ≤ 90°, by intensity:
2θ (°)	intensity
18.74	100
27.00	44
31.52	39
21.37	32
25.31	29
28.39	22
34.69	20
41.46	19
39.58	18
42.20	17

Cell and atoms:
a b c (Å): 13.584 6.604 4.367
angles (deg): 90.00 90.00 90.00
Positions (direct):
Hg1 0.126 0.250 0.057
Hg2 0.374 0.750 0.557
Hg3 0.626 0.250 0.443
Hg4 0.874 0.750 0.943
Cl1 0.007 0.750 0.275
Cl2 0.241 0.750 0.889
Cl3 0.259 0.250 0.389
Cl4 0.493 0.250 0.775
Cl5 0.507 0.750 0.225
Cl6 0.741 0.750 0.611
Cl7 0.759 0.250 0.111
Cl8 0.993 0.250 0.725

=====

Record 2
Simulated powder X-ray diffraction pattern
Compound: Hg3S2ICl
Radiation: Cu Kα
Structure: the PBE geometry in the Materials Project

Principal peaks in the range 10° ≤ 2θ ≤ 90°, by intensity:
2θ (°)	intensity
32.02	100
32.74	95
28.01	58
38.28	53
22.02	51
11.40	50
28.89	49
20.70	47
37.76	46
36.63	45

Cell and atoms:
a b c (Å): 10.547 10.547 13.377
angles (deg): 127.32 127.32 53.72
Positions (direct):
Hg1 0.000 0.500 0.000
Hg2 0.052 0.487 0.295
Hg3 0.096 0.096 0.712
Hg4 0.214 0.786 0.000
Hg5 0.389 0.389 0.747
Hg6 0.487 0.052 0.295
Hg7 0.500 0.000 0.000
Hg8 0.513 0.948 0.705
Hg9 0.611 0.611 0.253
Hg10 0.786 0.214 0.000
Hg11 0.904 0.904 0.288
Hg12 0.948 0.513 0.705
S1 0.125 0.638 0.751
S2 0.131 0.620 0.248
S3 0.362 0.875 0.249
S4 0.380 0.869 0.752
S5 0.620 0.131 0.248
S6 0.638 0.125 0.751
S7 0.869 0.380 0.752
S8 0.875 0.362 0.249
I1 0.127 0.127 0.500
I2 0.377 0.377 0.006
I3 0.623 0.623 0.994
I4 0.873 0.873 0.500
Cl1 0.128 0.128 0.022
Cl2 0.354 0.354 0.477
Cl3 0.646 0.646 0.523
Cl4 0.872 0.872 0.978

=====

Record 3
Simulated powder X-ray diffraction pattern
Compound: Rb2InHgCl6
Radiation: Cu Kα
Structure: the PBE geometry in the Materials Project

Principal peaks in the range 10° ≤ 2θ ≤ 90°, by intensity:
2θ (°)	intensity
23.26	100
33.13	58
40.87	47
47.56	40
16.39	31
64.47	25
53.59	22
79.21	17
37.18	16
59.18	13

Cell and atoms:
a b c (Å): 7.648 7.648 7.648
angles (deg): 60.00 60.00 60.00
Positions (direct):
Rb1 0.250 0.250 0.250
Rb2 0.750 0.750 0.750
In1 0.000 0.000 0.000
Hg1 0.500 0.500 0.500
Cl1 0.238 0.238 0.762
Cl2 0.238 0.762 0.238
Cl3 0.238 0.762 0.762
Cl4 0.762 0.238 0.238
Cl5 0.762 0.238 0.762
Cl6 0.762 0.762 0.238

=====

Record 4
Simulated powder X-ray diffraction pattern
Compound: K2Hg2SCl4O3
Radiation: Cu Kα
Structure: the PBE geometry in the Materials Project

Principal peaks in the range 10° ≤ 2θ ≤ 90°, by intensity:
2θ (°)	intensity
24.24	100
29.20	88
22.65	74
28.49	70
41.25	61
18.02	57
23.37	51
18.21	47
30.63	40
32.22	39

Cell and atoms:
a b c (Å): 9.799 6.117 10.429
angles (deg): 90.00 110.48 90.00
Positions (direct):
K1 0.100 0.250 0.177
K2 0.372 0.750 0.056
K3 0.628 0.250 0.944
K4 0.900 0.750 0.823
Hg1 0.093 0.250 0.632
Hg2 0.384 0.750 0.528
Hg3 0.616 0.250 0.472
Hg4 0.907 0.750 0.368
S1 0.193 0.250 0.882
S2 0.807 0.750 0.118
Cl1 0.080 0.750 0.608
Cl2 0.223 0.750 0.293
Cl3 0.338 0.250 0.533
Cl4 0.481 0.250 0.234
Cl5 0.519 0.750 0.766
Cl6 0.662 0.750 0.467
Cl7 0.777 0.250 0.707
Cl8 0.920 0.250 0.392
O1 0.140 0.049 0.931
O2 0.140 0.451 0.931
O3 0.352 0.250 0.919
O4 0.648 0.750 0.081
O5 0.860 0.549 0.069
O6 0.860 0.951 0.069

=====

Record 5
Simulated powder X-ray diffraction pattern
Compound: KHg2SCl3O3
Radiation: Cu Kα
Structure: the PBE geometry in the Materials Project

Principal peaks in the range 10° ≤ 2θ ≤ 90°, by intensity:
2θ (°)	intensity
22.54	100
28.85	42
19.51	37
29.48	29
14.87	29
35.54	24
46.04	17
27.05	17
47.06	15
41.18	15

Cell and atoms:
a b c (Å): 11.614 11.614 7.035
angles (deg): 90.00 90.00 149.10
Positions (direct):
K1 0.238 0.762 0.500
K2 0.762 0.238 0.000
Hg1 0.061 0.939 0.976
Hg2 0.401 0.599 0.852
Hg3 0.599 0.401 0.352
Hg4 0.939 0.061 0.476
S1 0.167 0.833 0.045
S2 0.833 0.167 0.545
Cl1 0.047 0.953 0.434
Cl2 0.346 0.654 0.131
Cl3 0.460 0.540 0.578
Cl4 0.540 0.460 0.078
Cl5 0.654 0.346 0.631
Cl6 0.953 0.047 0.934
O1 0.020 0.376 0.660
O2 0.201 0.799 0.866
O3 0.376 0.020 0.160
O4 0.624 0.980 0.660
O5 0.799 0.201 0.366
O6 0.980 0.624 0.160

=====

Record 6
Simulated powder X-ray diffraction pattern
Compound: K2HgSbCl6
Radiation: Cu Kα
Structure: the PBE geometry in the Materials Project

Principal peaks in the range 10° ≤ 2θ ≤ 90°, by intensity:
2θ (°)	intensity
16.06	100
22.78	99
32.44	71
36.39	53
46.53	49
40.01	46
49.54	27
63.00	25
52.41	22
77.30	20

Cell and atoms:
a b c (Å): 7.807 7.807 7.807
angles (deg): 60.00 60.00 60.00
Positions (direct):
K1 0.250 0.250 0.250
K2 0.750 0.750 0.750
Hg1 0.000 0.000 0.000
Sb1 0.500 0.500 0.500
Cl1 0.261 0.261 0.739
Cl2 0.261 0.739 0.261
Cl3 0.261 0.739 0.739
Cl4 0.739 0.261 0.261
Cl5 0.739 0.261 0.739
Cl6 0.739 0.739 0.261